This entry pairs a crystal structure of TcC with its calculated PXRD pattern. Radiation: a wavelength of 1.5418 Å. Structure: a structure optimized by DFT (PBE).
Neutral-atom scattering factors, no anomalous dispersion.

Main lines, sorted by position (2θ from 5° to 70°):
| d (Å) | 2θ (°) | I (rel.) |
| --- | --- | --- |
| 2.506 | 35.84 | 100.0 |
| 2.170 | 41.62 | 73.6 |
| 1.534 | 60.32 | 46.6 |

Crystal structure
```
TcC
1.0
4.340 0.000 0.000
0.000 4.340 0.000
0.000 0.000 4.340
Tc C
4 4
Direct
0.000 0.000 0.000 Tc
0.000 0.500 0.500 Tc
0.500 0.000 0.500 Tc
0.500 0.500 0.000 Tc
0.000 0.000 0.500 C
0.000 0.500 0.000 C
0.500 0.000 0.000 C
0.500 0.500 0.500 C
```

This entry pairs a crystal structure of Th5C with its calculated PXRD pattern. Radiation: a wavelength of 1.5418 Å. Structure: a structure optimized by DFT (PBE).
Neutral-atom scattering factors, no anomalous dispersion.

Main lines, sorted by position (2θ from 5° to 70°):
| d (Å) | 2θ (°) | I (rel.) |
| --- | --- | --- |
| 3.003 | 29.75 | 34.9 |
| 2.937 | 30.44 | 100.0 |
| 2.557 | 35.09 | 71.6 |
| 1.823 | 50.02 | 26.4 |
| 1.794 | 50.91 | 25.6 |
| 1.540 | 60.09 | 30.2 |

Crystal structure
```
Th5C
1.0
1.794 1.036 15.014
-1.794 1.036 15.014
0.000 -2.071 15.014
Th C
5 1
Direct
0.000 0.000 0.000 Th
0.200 0.200 0.200 Th
0.398 0.398 0.398 Th
0.602 0.602 0.602 Th
0.800 0.800 0.800 Th
0.500 0.500 0.500 C
```

This entry pairs a crystal structure of ThC2 with its calculated PXRD pattern. Radiation: a wavelength of 1.5418 Å. Structure: a structure optimized by DFT (PBE).
Neutral-atom scattering factors, no anomalous dispersion.

Main lines, sorted by position (2θ from 5° to 70°):
| d (Å) | 2θ (°) | I (rel.) |
| --- | --- | --- |
| 3.351 | 26.60 | 100.0 |
| 2.902 | 30.81 | 70.1 |
| 2.052 | 44.13 | 50.6 |
| 1.750 | 52.27 | 55.9 |
| 1.676 | 54.78 | 17.6 |
| 1.451 | 64.18 | 7.8 |

Crystal structure
```
ThC2
1.0
5.805 0.000 0.000
0.000 5.805 0.000
0.000 0.000 5.805
Th C
4 8
Direct
0.000 0.000 0.000 Th
0.000 0.500 0.500 Th
0.500 0.000 0.500 Th
0.500 0.500 0.000 Th
0.067 0.567 0.933 C
0.067 0.933 0.433 C
0.433 0.067 0.933 C
0.433 0.433 0.433 C
0.567 0.567 0.567 C
0.567 0.933 0.067 C
0.933 0.067 0.567 C
0.933 0.433 0.067 C
```

This entry pairs a crystal structure of ThC2 with its calculated PXRD pattern. Radiation: a wavelength of 1.5418 Å. Structure: a structure optimized by DFT (PBE).
Neutral-atom scattering factors, no anomalous dispersion.

Main lines, sorted by position (2θ from 5° to 70°):
| d (Å) | 2θ (°) | I (rel.) |
| --- | --- | --- |
| 3.318 | 26.87 | 100.0 |
| 3.038 | 29.40 | 53.3 |
| 2.612 | 34.33 | 19.2 |
| 2.148 | 42.06 | 19.5 |
| 1.981 | 45.82 | 31.9 |
| 1.803 | 50.62 | 43.1 |

Crystal structure
```
ThC2
1.0
4.296 0.000 0.000
0.000 4.296 0.000
0.000 0.000 5.224
Th C
2 4
Direct
0.000 0.500 0.000 Th
0.500 0.000 0.500 Th
0.000 0.346 0.500 C
0.000 0.654 0.500 C
0.346 0.000 0.000 C
0.654 0.000 0.000 C
```

This entry pairs a crystal structure of ThC2 with its calculated PXRD pattern. Radiation: a wavelength of 1.5418 Å. Structure: a structure optimized by DFT (PBE).
Neutral-atom scattering factors, no anomalous dispersion.

Main lines, sorted by position (2θ from 5° to 70°):
| d (Å) | 2θ (°) | I (rel.) |
| --- | --- | --- |
| 3.333 | 26.74 | 99.7 |
| 3.258 | 27.37 | 100.0 |
| 2.977 | 30.02 | 99.9 |
| 2.647 | 33.87 | 41.8 |
| 1.978 | 45.88 | 62.7 |
| 1.792 | 50.97 | 39.7 |

Crystal structure
```
ThC2
1.0
6.722 0.000 0.000
0.000 4.291 0.000
-1.626 0.000 6.511
Th C
4 8
Direct
0.000 0.209 0.250 Th
0.000 0.791 0.750 Th
0.500 0.291 0.750 Th
0.500 0.709 0.250 Th
0.199 0.369 0.947 C
0.199 0.631 0.447 C
0.301 0.131 0.053 C
0.301 0.869 0.553 C
0.699 0.131 0.447 C
0.699 0.869 0.947 C
0.801 0.369 0.553 C
0.801 0.631 0.053 C
```

This entry pairs a crystal structure of Th4C3 with its calculated PXRD pattern. Radiation: a wavelength of 1.5418 Å. Structure: a structure optimized by DFT (PBE).
Neutral-atom scattering factors, no anomalous dispersion.

Main lines, sorted by position (2θ from 5° to 70°):
| d (Å) | 2θ (°) | I (rel.) |
| --- | --- | --- |
| 3.130 | 28.52 | 32.6 |
| 3.069 | 29.09 | 100.0 |
| 2.671 | 33.55 | 78.7 |
| 1.903 | 47.81 | 26.6 |
| 1.875 | 48.56 | 29.3 |
| 1.608 | 57.28 | 29.8 |

Crystal structure
```
Th4C3
1.0
1.875 1.083 12.520
-1.875 1.083 12.520
0.000 -2.165 12.520
Th C
4 3
Direct
0.120 0.120 0.120 Th
0.374 0.374 0.374 Th
0.626 0.626 0.626 Th
0.880 0.880 0.880 Th
0.000 0.000 0.000 C
0.246 0.246 0.246 C
0.754 0.754 0.754 C
```